Simulated powder X-ray diffraction pattern of La2CdIn5 for Cu Kα, from a GGA-PBE-relaxed structure.
Neutral-atom scattering factors, no anomalous dispersion.

Crystal structure
Lattice parameters (Å, degrees): 6.7335 6.7335 6.7335 119.61 119.61 90.68
Fractional coordinates of all 8 atoms:
La: 0.0000 0.5000 0.5000
La: 0.5000 0.0000 0.5000
Cd: 0.4995 0.4995 0.0000
In: 0.0004 0.0004 0.0000
In: 0.9998 0.9998 0.4996
In: 0.9998 0.5002 0.0000
In: 0.5002 0.9998 0.0000
In: 0.5002 0.5002 0.5004

Top 12 peaks for 15° ≤ 2θ ≤ 90°, in order of rising 2θ:
| Position (°2θ) | I_rel |
| --- | --- |
| 32.5 | 100 |
| 37.6 | 34 |
| 38.0 | 16 |
| 54.2 | 11 |
| 54.5 | 22 |
| 64.6 | 26 |
| 65.2 | 13 |
| 68.1 | 11 |
| 80.2 | 4 |
| 81.3 | 2 |
| 89.2 | 6 |
| 89.8 | 11 |